# Zn2GeO4
Computed powder diffractogram, λ = 1.5418 Å (Cu Kα). Input: a crystal structure in the Materials Project, relaxed with GGA-PBE.
Intensities are scaled so that the largest is 100.

The 12 most intense peaks (10 to 90 degrees two-theta), low angle first:
12.23°, rel. 18.5, hkl 1 1 0
21.27°, rel. 24.0, hkl 3 0 0
24.60°, rel. 64.1, hkl 2 2 0
30.38°, rel. 82.4, hkl 2 -1 3
32.74°, rel. 100.0, hkl 4 1 0
37.38°, rel. 58.9, hkl 2 2 3
47.07°, rel. 46.5, hkl 6 -3 3
55.34°, rel. 14.4, hkl 1 7 0
57.20°, rel. 14.0, hkl 0 0 6
62.99°, rel. 42.7, hkl 1 7 3
65.87°, rel. 22.3, hkl 6 3 3
67.49°, rel. 22.7, hkl 5 -4 6

Crystal structure
a = 14.4727 Å, b = 14.4727 Å, c = 9.6625 Å
α = 90.00°, β = 90.00°, γ = 120.00°
Space group R-3 (No. 148, hexagonal axes)
Asymmetric unit:
Zn1 0.0192 0.8085 0.0842
Zn2 0.0233 0.8090 0.4172
Ge1 0.0179 0.8050 0.7500
O1 0.0022 0.6752 0.7485
O2 0.0823 0.8744 0.9037
O3 0.0857 0.8768 0.5982
O4 0.1005 0.8862 0.2495